Structure and theoretical X-ray powder pattern of AlAsRu4 (a GGA-PBE-relaxed structure; Cu Kα X-rays).
Neutral-atom scattering factors, no anomalous dispersion.

Structure:
a = 5.1205 Å, b = 5.1205 Å, c = 5.1205 Å
α = 60.00°, β = 60.00°, γ = 60.00°
Positions (direct):
Al 0.0000 0.0000 0.0000
As 0.2500 0.2500 0.2500
Ru 0.1257 0.6248 0.6248
Ru 0.6248 0.1257 0.6248
Ru 0.6248 0.6248 0.1257
Ru 0.6248 0.6248 0.6248

Peak list (10 most intense, 10° ≤ 2θ ≤ 90°, sorted by position)
- 2θ 21.25, d = 4.181 Å, intensity 46
- 2θ 35.05, d = 2.560 Å, intensity 11
- 2θ 41.35, d = 2.183 Å, intensity 100
- 2θ 43.28, d = 2.090 Å, intensity 63
- 2θ 50.41, d = 1.810 Å, intensity 17
- 2θ 55.30, d = 1.661 Å, intensity 10
- 2θ 67.17, d = 1.394 Å, intensity 31
- 2θ 74.06, d = 1.280 Å, intensity 29
- 2θ 88.55, d = 1.104 Å, intensity 11
- 2θ 89.85, d = 1.092 Å, intensity 23